Computed powder X-ray diffraction pattern
Compound: Ac2InGa5
Radiation: CuKα
Structure: the GGA-PBE geometry in Alexandria

Structure:
```
data_Ac2InGa5
_space_group_name_H-M_alt 'I 4 m m'
_space_group_IT_number 107
_space_group_name_Hall 'I 4 -2'
_cell_length_a 6.6904
_cell_length_b 6.6904
_cell_length_c 9.3167
_cell_angle_alpha 90.00
_cell_angle_beta 90.00
_cell_angle_gamma 90.00
loop_
_atom_site_label
_atom_site_fract_x
_atom_site_fract_y
_atom_site_fract_z
Ac1 0.0000 0.5000 0.0000
In1 0.0000 0.0000 0.2819
Ga1 0.0000 0.0000 0.9689
Ga2 0.1953 0.1953 0.7489
```

Top 10 peaks for 2θ from 10° to 90°, by angle:
d 4.731, 18.76°, intensity 20; d 3.345, 26.65°, intensity 31; d 3.319, 26.86°, intensity 100; d 2.849, 31.40°, intensity 17; d 2.717, 32.96°, intensity 88; d 2.365, 38.04°, intensity 49; d 2.329, 38.66°, intensity 27; d 1.926, 47.18°, intensity 27; d 1.660, 55.36°, intensity 29; d 1.494, 62.14°, intensity 18

---

Computed powder X-ray diffraction pattern
Compound: La6Ir2SBr2
Radiation: CuKα
Structure: the GGA-PBE geometry in Alexandria

Structure:
```
data_La6Ir2SBr2
_space_group_name_H-M_alt 'C 1 2/m 1'
_space_group_IT_number 12
_space_group_name_Hall '-C 2y'
_cell_length_a 7.5161
_cell_length_b 12.6223
_cell_length_c 7.7461
_cell_angle_alpha 90.00
_cell_angle_beta 107.69
_cell_angle_gamma 90.00
loop_
_atom_site_label
_atom_site_fract_x
_atom_site_fract_y
_atom_site_fract_z
La1 0.2114 0.0000 0.2108
La2 0.2411 0.3301 0.2098
Ir1 0.0000 0.1702 0.0000
S1 0.0000 0.5000 0.0000
Br1 0.0000 0.3383 0.5000
```

Top 10 peaks for 2θ from 10° to 90°, by angle:
d 7.380, 11.99°, intensity 29; d 3.076, 29.03°, intensity 100; d 2.408, 37.34°, intensity 10; d 2.250, 40.07°, intensity 11; d 2.200, 41.03°, intensity 24; d 2.152, 41.98°, intensity 25; d 2.104, 42.99°, intensity 13; d 1.790, 51.03°, intensity 9; d 1.737, 52.69°, intensity 13; d 1.364, 68.82°, intensity 10

---

Computed powder X-ray diffraction pattern
Compound: LiOs3O12
Radiation: CuKα
Structure: the GGA-PBE geometry in Alexandria

Structure:
```
data_LiOs3O12
_space_group_name_H-M_alt 'R 3 c'
_space_group_IT_number 161
_space_group_name_Hall 'R 3 -2"c'
_cell_length_a 8.8930
_cell_length_b 8.8930
_cell_length_c 28.2943
_cell_angle_alpha 90.00
_cell_angle_beta 90.00
_cell_angle_gamma 120.00
loop_
_atom_site_label
_atom_site_fract_x
_atom_site_fract_y
_atom_site_fract_z
Li1 0.0000 0.0000 0.0000
Os1 0.0047 0.3221 0.4121
O1 0.0068 0.5009 0.5435
O2 0.0568 0.2146 0.0442
O3 0.0812 0.5224 0.4386
O4 0.1710 0.4505 0.1219
```

Top 10 peaks for 2θ from 10° to 90°, by angle:
d 4.716, 18.82°, intensity 35; d 4.447, 19.97°, intensity 22; d 4.022, 22.10°, intensity 100; d 3.235, 27.57°, intensity 19; d 2.567, 34.95°, intensity 40; d 2.255, 39.99°, intensity 23; d 2.164, 41.74°, intensity 13; d 1.737, 52.71°, intensity 22; d 1.655, 55.54°, intensity 13; d 1.482, 62.68°, intensity 15

---

Computed powder X-ray diffraction pattern
Compound: GaSn2Sb2Pd7
Radiation: CuKα
Structure: the GGA-PBE geometry in Alexandria

Structure:
```
data_GaSn2Sb2Pd7
_space_group_name_H-M_alt 'C 1 2/m 1'
_space_group_IT_number 12
_space_group_name_Hall '-C 2y'
_cell_length_a 5.6129
_cell_length_b 5.5579
_cell_length_c 14.9798
_cell_angle_alpha 90.00
_cell_angle_beta 96.62
_cell_angle_gamma 90.00
loop_
_atom_site_label
_atom_site_fract_x
_atom_site_fract_y
_atom_site_fract_z
Ga1 0.0000 0.0000 0.0000
Sn1 0.0794 0.5000 0.2533
Sb1 0.1431 0.0000 0.3917
Pd1 0.0000 0.5000 0.0000
Pd2 0.1717 0.5000 0.4356
Pd3 0.2092 0.2500 0.8696
```

Top 10 peaks for 2θ from 10° to 90°, by angle:
d 2.732, 32.78°, intensity 39; d 2.715, 32.99°, intensity 27; d 2.600, 34.49°, intensity 35; d 2.424, 37.08°, intensity 35; d 2.226, 40.52°, intensity 33; d 2.163, 41.76°, intensity 23; d 2.117, 42.72°, intensity 35; d 2.031, 44.61°, intensity 35; d 1.971, 46.04°, intensity 100; d 1.389, 67.41°, intensity 32